Record 1
# Sm3Tm2Mg8
Simulated PXRD pattern, Cu Kα X-rays. Input: a PBE-relaxed structure.
Lines closer than 0.1° are merged.

Peak list (6 most intense, 10 to 90 degrees two-theta, low angle first)
d 6.225, I 52.8; d 4.186, I 69.6; d 2.918, I 89.3; d 2.818, I 100.0; d 2.642, I 77.2; d 1.665, I 41.7

Structure:
```
Sm3Tm2Mg8
1.0
2.9176 1.6845 12.4501
-2.9176 1.6845 12.4501
0.0000 -3.3689 12.4501
Sm Tm Mg
3 2 8
Direct
0.0000 0.0000 0.0000
0.1831 0.1831 0.1831
0.8169 0.8169 0.8169
0.3594 0.3594 0.3594
0.6406 0.6406 0.6406
0.2311 0.7325 0.7325
0.2675 0.2675 0.7689
0.2675 0.7689 0.2675
0.2754 0.2754 0.2754
0.7246 0.7246 0.7246
0.7325 0.2311 0.7325
0.7325 0.7325 0.2311
0.7689 0.2675 0.2675
```

Record 2
# KAgAsAu
Simulated PXRD pattern, Cu Kα X-rays. Input: a PBE-relaxed structure.
Lines closer than 0.1° are merged.

Peak list (6 most intense, 10 to 90 degrees two-theta, low angle first)
d 4.307, I 97.1; d 3.367, I 100.0; d 2.667, I 90.2; d 2.647, I 84.7; d 1.782, I 51.3; d 1.764, I 51.6

Structure:
```
KAgAsAu
1.0
-2.3530 2.4092 4.8027
2.3530 -2.4092 4.8027
2.3530 2.4092 -4.8027
K Ag As Au
1 1 1 1
Direct
0.0000 0.0000 0.0000
0.3463 0.3463 0.0000
0.7433 0.2433 0.5000
0.6521 0.6521 0.0000
```